V3NiO8: computed powder diffractogram (copper Kα), based on a crystal structure in Alexandria, relaxed with PBE+U.
Peak positions follow from Bragg's law for the DFT cell and can differ from measured ones.

```
V3NiO8
1.0
5.701 0.000 0.000
0.303 5.740 0.000
0.232 0.220 7.763
V Ni O
3 1 8
Cartesian
0.000 0.000 0.000
0.895 3.042 5.835
3.724 3.503 3.895
2.866 0.660 1.956
0.648 4.281 7.114
0.639 1.354 6.427
1.114 0.198 1.254
2.605 3.178 5.265
3.488 5.077 3.333
3.452 2.366 2.675
4.126 0.291 0.532
5.411 3.334 4.514
```

Principal peaks in the range 10 to 90 degrees two-theta, sorted by position:
d/Å, I_rel, h k l
4.678, 98, 0 1 1
4.653, 94, 1 0 1
4.553, 100, 0 1 -1
4.529, 97, 1 0 -1
3.513, 21, 1 -1 1
3.254, 19, 1 0 2
3.169, 20, 1 0 -2
2.895, 18, 1 1 2
2.869, 31, 0 2 0
2.846, 30, 2 0 0
2.778, 15, 1 1 -2
2.765, 28, 1 -1 2